# 1
MgMn10N8: calculated powder XRD pattern (a wavelength of 1.5418 Å), based on a crystal structure in the Materials Project, relaxed with GGA-PBE.
Intensities are scaled so that the largest is 100.

Crystal structure
Lattice parameters (Å, degrees): 14.5869 4.0735 6.6341 90.00 107.46 90.00
Space group C2/m (No. 12)
Unique sites:
Mg: 0.0000 0.0000 0.0000 x2
Mn: 0.0418 0.5000 0.7179 x4
Mn: 0.0979 0.0000 0.4647 x4
Mn: 0.1498 0.5000 0.2129 x4
Mn: 0.1795 0.0000 0.9210 x4
Mn: 0.2173 0.5000 0.6768 x4
N: 0.0479 0.0000 0.7228 x4
N: 0.0989 0.5000 0.4540 x4
N: 0.1460 0.0000 0.2081 x4
N: 0.1759 0.5000 0.9282 x4

The 10 most intense peaks (10° ≤ 2θ ≤ 90°), sorted by position:
15.9°, d = 5.590 Å, I = 18, hkl 2 0 -1
38.1°, d = 2.364 Å, I = 99, hkl 1 1 2
38.2°, d = 2.355 Å, I = 100, hkl 5 1 -1
43.0°, d = 2.105 Å, I = 64, hkl 4 0 -3
44.5°, d = 2.037 Å, I = 70, hkl 0 2 0
45.5°, d = 1.993 Å, I = 58, hkl 6 0 1
63.6°, d = 1.464 Å, I = 34, hkl 4 2 -3
64.6°, d = 1.443 Å, I = 15, hkl 10 0 -2
65.5°, d = 1.424 Å, I = 34, hkl 6 2 1
77.7°, d = 1.229 Å, I = 23, hkl 5 3 -1



# 2
La2US5: calculated powder XRD pattern (a wavelength of 1.5418 Å), based on a crystal structure in the Materials Project, relaxed with GGA-PBE.
Intensities are scaled so that the largest is 100.

Crystal structure
Lattice parameters (Å, degrees): 11.9993 8.2032 7.5692 90.00 90.00 90.00
Space group Pnma (No. 62)
Unique sites:
La: 0.1765 0.0006 0.0245 x8
U: 0.0091 0.2500 0.5708 x4
S: 0.0015 0.2500 0.9535 x4
S: 0.0931 0.5415 0.6585 x8
S: 0.1852 0.2500 0.3325 x4
S: 0.2136 0.7500 0.3040 x4

The 10 most intense peaks (10° ≤ 2θ ≤ 90°), sorted by position:
23.5°, d = 3.785 Å, I = 47, hkl 0 0 2
25.2°, d = 3.536 Å, I = 100, hkl 3 0 1
25.8°, d = 3.454 Å, I = 86, hkl 1 2 1
26.3°, d = 3.386 Å, I = 66, hkl 2 2 0
35.6°, d = 2.523 Å, I = 69, hkl 2 2 2
37.1°, d = 2.421 Å, I = 34, hkl 4 2 0
40.3°, d = 2.238 Å, I = 24, hkl 2 1 3
44.2°, d = 2.051 Å, I = 27, hkl 0 4 0
45.4°, d = 1.998 Å, I = 59, hkl 6 0 0
51.5°, d = 1.773 Å, I = 43, hkl 3 4 1



# 3
SrP3: calculated powder XRD pattern (a wavelength of 1.5418 Å), based on a crystal structure in the Materials Project, relaxed with GGA-PBE.
Intensities are scaled so that the largest is 100.

Crystal structure
Lattice parameters (Å, degrees): 9.2399 7.3526 5.7441 90.00 113.40 90.00
Space group C2/m (No. 12)
Unique sites:
Sr: 0.1630 0.0000 0.3525 x4
P: 0.0114 0.5000 0.8092 x4
P: 0.1401 0.2451 0.8209 x8

The 10 most intense peaks (10° ≤ 2θ ≤ 90°), sorted by position:
26.2°, d = 3.407 Å, I = 72, hkl 1 1 1
29.6°, d = 3.016 Å, I = 25, hkl 0 2 1
32.1°, d = 2.790 Å, I = 36, hkl 2 0 -2
32.3°, d = 2.773 Å, I = 100, hkl 2 2 -1
33.6°, d = 2.665 Å, I = 15, hkl 1 1 -2
34.0°, d = 2.638 Å, I = 66, hkl 3 1 0
43.8°, d = 2.067 Å, I = 20, hkl 1 3 1
49.2°, d = 1.852 Å, I = 16, hkl 3 3 0
49.6°, d = 1.838 Å, I = 20, hkl 0 4 0
58.6°, d = 1.574 Å, I = 17, hkl 4 2 1



# 4
Si2Ni6B: calculated powder XRD pattern (a wavelength of 1.5418 Å), based on a crystal structure in the Materials Project, relaxed with GGA-PBE.
Intensities are scaled so that the largest is 100.

Crystal structure
Lattice parameters (Å, degrees): 6.1097 6.1097 2.8593 90.00 90.00 120.00
Space group P-62m (No. 189)
Unique sites:
Si: 0.3333 0.6667 0.0000 x2
Ni: 0.0000 0.3894 0.5000 x3
Ni: 0.0000 0.7553 0.0000 x3
B: 0.0000 0.0000 0.5000 x1

The 10 most intense peaks (10° ≤ 2θ ≤ 90°), sorted by position:
29.2°, d = 3.055 Å, I = 14, hkl 1 1 0
43.3°, d = 2.088 Å, I = 100, hkl 1 1 1
45.3°, d = 2.000 Å, I = 59, hkl 2 1 0
46.8°, d = 1.942 Å, I = 35, hkl 2 0 1
51.8°, d = 1.764 Å, I = 21, hkl 3 0 0
56.1°, d = 1.639 Å, I = 14, hkl 2 1 1
65.3°, d = 1.430 Å, I = 12, hkl 0 0 2
72.4°, d = 1.306 Å, I = 13, hkl 3 1 1
83.0°, d = 1.163 Å, I = 18, hkl 2 1 2
87.3°, d = 1.117 Å, I = 15, hkl 3 2 1



# 5
Sr2YSbO6: calculated powder XRD pattern (a wavelength of 1.5418 Å), based on a crystal structure in the Materials Project, relaxed with GGA-PBE.
Intensities are scaled so that the largest is 100.

Crystal structure
Lattice parameters (Å, degrees): 8.3993 8.3993 8.3993 90.00 90.00 90.00
Space group Fm-3m (No. 225)
Unique sites:
Sr: 0.2500 0.2500 0.2500 x8
Y: 0.0000 0.0000 0.0000 x4
Sb: 0.0000 0.0000 0.5000 x4
O: 0.0000 0.0000 0.2628 x24

The 10 most intense peaks (10° ≤ 2θ ≤ 90°), sorted by position:
18.3°, d = 4.849 Å, I = 3, hkl 1 1 1
21.2°, d = 4.200 Å, I = 5, hkl 2 0 0
30.1°, d = 2.970 Å, I = 100, hkl 2 2 0
43.1°, d = 2.100 Å, I = 34, hkl 4 0 0
48.5°, d = 1.878 Å, I = 2, hkl 4 2 0
53.4°, d = 1.715 Å, I = 40, hkl 4 2 2
62.6°, d = 1.485 Å, I = 21, hkl 4 4 0
71.0°, d = 1.328 Å, I = 18, hkl 6 2 0
79.0°, d = 1.212 Å, I = 7, hkl 4 4 4
86.8°, d = 1.122 Å, I = 21, hkl 6 4 2



# 6
CuPt2S4: calculated powder XRD pattern (a wavelength of 1.5418 Å), based on a crystal structure in the Materials Project, relaxed with GGA-PBE.
Intensities are scaled so that the largest is 100.

Crystal structure
Lattice parameters (Å, degrees): 6.2795 6.9946 6.4546 90.00 115.22 90.00
Space group P2/m (No. 10)
Unique sites:
Cu: 0.1597 0.0000 0.3563 x2
Pt: 0.0000 0.5000 0.0000 x1
Pt: 0.5000 0.2484 0.0000 x2
Pt: 0.5000 0.5000 0.5000 x1
S: 0.2395 0.5000 0.7838 x2
S: 0.2475 0.0000 0.7546 x2
S: 0.2836 0.2685 0.2301 x4

The 10 most intense peaks (10° ≤ 2θ ≤ 90°), sorted by position:
12.7°, d = 6.995 Å, I = 53, hkl 0 1 0
15.2°, d = 5.840 Å, I = 61, hkl 0 0 1
15.6°, d = 5.681 Å, I = 57, hkl 1 0 0
20.8°, d = 4.262 Å, I = 69, hkl 1 1 -1
29.1°, d = 3.065 Å, I = 61, hkl 1 1 1
30.5°, d = 2.931 Å, I = 64, hkl 1 2 -1
33.3°, d = 2.689 Å, I = 92, hkl 2 0 -2
36.8°, d = 2.442 Å, I = 100, hkl 1 2 1
49.9°, d = 1.827 Å, I = 65, hkl 1 2 -3
51.1°, d = 1.788 Å, I = 58, hkl 3 2 -1



# 7
TiMo3: calculated powder XRD pattern (a wavelength of 1.5418 Å), based on a crystal structure in the Materials Project, relaxed with GGA-PBE.
Intensities are scaled so that the largest is 100.

Crystal structure
Lattice parameters (Å, degrees): 3.1770 4.4474 8.9783 90.00 90.00 90.00
Space group Immm (No. 71)
Unique sites:
Ti: 0.0000 0.0000 0.0000 x2
Mo: 0.0000 0.0000 0.5000 x2
Mo: 0.0000 0.5000 0.2440 x4

The 10 most intense peaks (10° ≤ 2θ ≤ 90°), sorted by position:
22.3°, d = 3.985 Å, I = 5, hkl 0 1 1
40.2°, d = 2.241 Å, I = 100, hkl 1 1 2
40.6°, d = 2.224 Å, I = 20, hkl 0 2 0
58.1°, d = 1.588 Å, I = 7, hkl 2 0 0
58.4°, d = 1.580 Å, I = 13, hkl 0 2 4
73.0°, d = 1.297 Å, I = 6, hkl 2 0 4
73.1°, d = 1.295 Å, I = 13, hkl 1 1 6
73.2°, d = 1.293 Å, I = 6, hkl 2 2 0
73.6°, d = 1.287 Å, I = 13, hkl 1 3 2
87.0°, d = 1.120 Å, I = 8, hkl 2 2 4



# 8
Gd2TlHg: calculated powder XRD pattern (a wavelength of 1.5418 Å), based on a crystal structure in the Materials Project, relaxed with GGA-PBE.
Intensities are scaled so that the largest is 100.

Crystal structure
Lattice parameters (Å, degrees): 7.5739 7.5739 7.5739 90.00 90.00 90.00
Space group Fm-3m (No. 225)
Unique sites:
Gd: 0.2500 0.2500 0.2500 x8
Tl: 0.0000 0.0000 0.0000 x4
Hg: 0.0000 0.0000 0.5000 x4

The 9 most intense peaks (10° ≤ 2θ ≤ 90°), sorted by position:
23.5°, d = 3.787 Å, I = 2, hkl 2 0 0
33.5°, d = 2.678 Å, I = 100, hkl 2 2 0
41.3°, d = 2.186 Å, I = 1, hkl 2 2 2
48.1°, d = 1.893 Å, I = 18, hkl 4 0 0
54.2°, d = 1.694 Å, I = 1, hkl 4 2 0
59.8°, d = 1.546 Å, I = 38, hkl 4 2 2
70.3°, d = 1.339 Å, I = 12, hkl 4 4 0
80.1°, d = 1.198 Å, I = 17, hkl 6 2 0
89.7°, d = 1.093 Å, I = 4, hkl 4 4 4



# 9
Mn3Au: calculated powder XRD pattern (a wavelength of 1.5418 Å), based on a crystal structure in the Materials Project, relaxed with GGA-PBE.
Intensities are scaled so that the largest is 100.

Crystal structure
Lattice parameters (Å, degrees): 4.4192 4.4192 9.2813 90.00 90.00 90.00
Space group P4/mmm (No. 123)
Unique sites:
Mn: 0.0000 0.0000 0.0000 x1
Mn: 0.0000 0.0000 0.3223 x2
Mn: 0.0000 0.5000 0.1646 x4
Mn: 0.5000 0.5000 0.3276 x2
Au: 0.0000 0.5000 0.5000 x2
Au: 0.5000 0.5000 0.0000 x1

The 10 most intense peaks (10° ≤ 2θ ≤ 90°), sorted by position:
19.1°, d = 4.641 Å, I = 23, hkl 0 0 2
30.2°, d = 2.962 Å, I = 36, hkl 1 1 1
40.8°, d = 2.210 Å, I = 51, hkl 2 0 0
41.1°, d = 2.199 Å, I = 100, hkl 1 1 3
45.5°, d = 1.995 Å, I = 11, hkl 2 0 2
59.1°, d = 1.562 Å, I = 17, hkl 2 2 0
67.8°, d = 1.382 Å, I = 8, hkl 3 1 1
74.5°, d = 1.274 Å, I = 33, hkl 3 1 3
74.9°, d = 1.267 Å, I = 16, hkl 2 0 6
89.1°, d = 1.099 Å, I = 10, hkl 2 2 6



# 10
Nb2S4Cl9O5: calculated powder XRD pattern (a wavelength of 1.5418 Å), based on a crystal structure in the Materials Project, relaxed with GGA-PBE.
Intensities are scaled so that the largest is 100.

Crystal structure
Lattice parameters (Å, degrees): 7.5820 7.6387 17.4012 90.00 90.00 90.00
Space group Immm (No. 71)
Unique sites:
Nb: 0.0000 0.0000 0.1185 x4
S: 0.1317 0.1764 0.0000 x8
Cl: 0.0000 0.0000 0.5000 x2
Cl: 0.0000 0.2815 0.1751 x8
Cl: 0.2063 0.5000 0.3377 x8
O: 0.0000 0.5000 0.5000 x2
O: 0.1997 0.0000 0.3830 x8

The 10 most intense peaks (10° ≤ 2θ ≤ 90°), sorted by position:
12.7°, d = 6.971 Å, I = 100, hkl 1 0 1
16.5°, d = 5.381 Å, I = 28, hkl 1 1 0
19.2°, d = 4.612 Å, I = 25, hkl 1 0 3
19.4°, d = 4.577 Å, I = 12, hkl 1 1 2
23.3°, d = 3.819 Å, I = 9, hkl 0 2 0
30.8°, d = 2.900 Å, I = 11, hkl 0 0 6
31.2°, d = 2.870 Å, I = 15, hkl 0 2 4
36.9°, d = 2.434 Å, I = 36, hkl 1 2 5
38.6°, d = 2.331 Å, I = 15, hkl 0 3 3
38.9°, d = 2.317 Å, I = 22, hkl 3 0 3



# 11
CaHfNbInO6: calculated powder XRD pattern (a wavelength of 1.5418 Å), based on a crystal structure in the Materials Project, relaxed with GGA-PBE.
Intensities are scaled so that the largest is 100.

Crystal structure
Lattice parameters (Å, degrees): 8.2021 8.2021 8.2021 90.00 90.00 90.00
Space group F-43m (No. 216)
Unique sites:
Ca: 0.0000 0.0000 0.0000 x4
Hf: 0.2500 0.2500 0.2500 x4
Nb: 0.2500 0.2500 0.7500 x4
In: 0.0000 0.0000 0.5000 x4
O: 0.0041 0.2500 0.7500 x24

The 10 most intense peaks (10° ≤ 2θ ≤ 90°), sorted by position:
18.7°, d = 4.735 Å, I = 15, hkl 1 1 1
21.7°, d = 4.101 Å, I = 17, hkl 2 0 0
30.8°, d = 2.900 Å, I = 100, hkl 2 2 0
36.3°, d = 2.473 Å, I = 10, hkl 3 1 1
44.2°, d = 2.051 Å, I = 32, hkl 4 0 0
49.7°, d = 1.834 Å, I = 7, hkl 4 2 0
54.8°, d = 1.674 Å, I = 40, hkl 4 2 2
64.2°, d = 1.450 Å, I = 19, hkl 4 4 0
72.9°, d = 1.297 Å, I = 17, hkl 6 2 0
89.4°, d = 1.096 Å, I = 21, hkl 6 4 2



# 12
Tb3AlN: calculated powder XRD pattern (a wavelength of 1.5418 Å), based on a crystal structure in the Materials Project, relaxed with GGA-PBE.
Intensities are scaled so that the largest is 100.

Crystal structure
Lattice parameters (Å, degrees): 4.8048 4.8048 4.8048 90.00 90.00 90.00
Space group Pm-3m (No. 221)
Unique sites:
Tb: 0.0000 0.0000 0.5000 x3
Al: 0.5000 0.5000 0.5000 x1
N: 0.0000 0.0000 0.0000 x1

The 10 most intense peaks (10° ≤ 2θ ≤ 90°), sorted by position:
18.5°, d = 4.805 Å, I = 26, hkl 1 0 0
26.2°, d = 3.397 Å, I = 14, hkl 1 1 0
32.3°, d = 2.774 Å, I = 100, hkl 1 1 1
37.4°, d = 2.402 Å, I = 56, hkl 2 0 0
42.0°, d = 2.149 Å, I = 13, hkl 2 1 0
46.3°, d = 1.962 Å, I = 7, hkl 2 1 1
54.0°, d = 1.699 Å, I = 39, hkl 2 2 0
64.3°, d = 1.449 Å, I = 42, hkl 3 1 1
67.5°, d = 1.387 Å, I = 13, hkl 2 2 2
88.8°, d = 1.102 Å, I = 18, hkl 3 3 1



# 13
RbCu3S2: calculated powder XRD pattern (a wavelength of 1.5418 Å), based on a crystal structure in the Materials Project, relaxed with GGA-PBE.
Intensities are scaled so that the largest is 100.

Crystal structure
Lattice parameters (Å, degrees): 14.6532 3.9188 8.5318 90.00 112.17 90.00
Space group C2/m (No. 12)
Unique sites:
Rb: 0.1359 0.0000 0.0432 x4
Cu: 0.0643 0.0000 0.4106 x4
Cu: 0.0922 0.5000 0.6342 x4
Cu: 0.1902 0.5000 0.4210 x4
S: 0.0248 0.5000 0.2478 x4
S: 0.1896 0.0000 0.6804 x4

The 10 most intense peaks (10° ≤ 2θ ≤ 90°), sorted by position:
11.2°, d = 7.901 Å, I = 100, hkl 0 0 1
31.0°, d = 2.880 Å, I = 40, hkl 1 1 -2
33.0°, d = 2.713 Å, I = 19, hkl 3 1 -2
34.3°, d = 2.612 Å, I = 21, hkl 4 0 -3
34.9°, d = 2.572 Å, I = 90, hkl 3 1 1
39.8°, d = 2.267 Å, I = 61, hkl 5 1 -2
42.4°, d = 2.131 Å, I = 22, hkl 3 1 2
46.3°, d = 1.959 Å, I = 40, hkl 0 2 0
50.6°, d = 1.804 Å, I = 21, hkl 8 0 -1
51.8°, d = 1.764 Å, I = 27, hkl 3 1 3